Diffraction record for KVHSe2O7. The powder XRD pattern is simulated, not measured: it uses the GGA+U geometry in the Materials Project and CuKα.
No peak broadening, texture or thermal motion is included.

```
data_KVHSe2O7
_chemical_formula_sum 'K2 V2 H2 Se4 O14'
_space_group_name_H-M_alt 'P 1 21/m 1'
_space_group_IT_number 11
_cell_length_a 4.1593
_cell_length_b 10.6228
_cell_length_c 7.9591
_cell_angle_alpha 90.00
_cell_angle_beta 96.84
_cell_angle_gamma 90.00
loop_
_space_group_symop_operation_xyz
'x,y,z'
'-x,-y,-z'
'-x,y+1/2,-z'
'x,-y+1/2,z'
loop_
_atom_site_label
_atom_site_fract_x
_atom_site_fract_y
_atom_site_fract_z
_atom_site_occupancy
K1 0.1001 0.2500 0.0529 1
V1 0.0505 0.7500 0.4426 1
H1 0.5000 0.0000 0.0000 1
Se1 0.2905 0.5113 0.6895 1
O1 0.0159 0.1171 0.3805 1
O2 0.0729 0.1208 0.7395 1
O3 0.3847 0.5735 0.8921 1
O4 0.4526 0.7500 0.4521 1
```

Principal peaks in the range 10° ≤ 2θ ≤ 90°, most intense first:
2θ 28.15, I = 100, (0 2 2)
2θ 11.20, I = 80, (0 0 1)
2θ 23.08, I = 78, (1 0 -1)
2θ 28.62, I = 73, (1 2 -1)
2θ 30.63, I = 56, (1 2 1)
2θ 27.36, I = 39, (1 2 0)
2θ 34.01, I = 34, (0 0 3)
2θ 45.33, I = 31, (1 4 -2)
2θ 33.75, I = 28, (0 4 0)
2θ 42.79, I = 28, (1 4 1)